The following is a calculated powder X-ray diffraction pattern of Pa4OsRh3. It was derived from a crystal structure in Alexandria, relaxed with PBE, using Cu Kα, 1.54184 Å.

Structural model:
Lattice parameters (Å, degrees): 3.814 4.047 11.090 90.00 90.00 90.00
Fractional coordinates of all 8 atoms:
Pa (0.000, 0.000, 0.000)
Pa (0.000, 0.500, 0.272)
Pa (0.500, 0.000, 0.494)
Pa (0.500, 0.500, 0.772)
Os (0.500, 0.000, 0.235)
Rh (0.000, 0.000, 0.736)
Rh (0.000, 0.500, 0.538)
Rh (0.500, 0.500, 0.032)

Top 8 peaks for 10 to 90 degrees two-theta, in order of rising 2θ:
- d = 2.773 Å, 2θ = 32.29°, I 45
- d = 2.692 Å, 2θ = 33.28°, I 100
- d = 2.654 Å, 2θ = 33.77°, I 19
- d = 2.220 Å, 2θ = 40.65°, I 54
- d = 2.023 Å, 2θ = 44.79°, I 23
- d = 1.907 Å, 2θ = 47.69°, I 19
- d = 1.733 Å, 2θ = 52.84°, I 20
- d = 1.634 Å, 2θ = 56.29°, I 19

***

The following is a calculated powder X-ray diffraction pattern of LiCdCu2. It was derived from a crystal structure in Alexandria, relaxed with PBE, using Cu Kα, 1.54184 Å.

Structural model:
Lattice parameters (Å, degrees): 4.439 4.439 4.439 123.75 123.75 83.62
Fractional coordinates of all 4 atoms:
Li (0.000, 0.000, 0.000)
Cd (0.250, 0.750, 0.500)
Cu (0.500, 0.500, 0.000)
Cu (0.750, 0.250, 0.500)

Top 8 peaks for 10 to 90 degrees two-theta, in order of rising 2θ:
- d = 3.537 Å, 2θ = 25.18°, I 34
- d = 3.309 Å, 2θ = 26.95°, I 14
- d = 2.960 Å, 2θ = 30.20°, I 21
- d = 2.206 Å, 2θ = 40.91°, I 100
- d = 2.093 Å, 2θ = 43.23°, I 42
- d = 1.480 Å, 2θ = 62.80°, I 13
- d = 1.298 Å, 2θ = 72.89°, I 16
- d = 1.229 Å, 2θ = 77.71°, I 27

***

The following is a calculated powder X-ray diffraction pattern of KIn3. It was derived from a crystal structure in Alexandria, relaxed with PBE, using Cu Kα, 1.54184 Å.

Structural model:
Lattice parameters (Å, degrees): 6.315 6.315 3.366 90.00 90.00 115.70
Fractional coordinates of all 4 atoms:
K (0.000, 0.000, 0.000)
In (0.000, 0.500, 0.500)
In (0.500, 0.000, 0.500)
In (0.500, 0.500, 0.000)

Top 8 peaks for 10 to 90 degrees two-theta, in order of rising 2θ:
- d = 5.690 Å, 2θ = 15.57°, I 10
- d = 2.847 Å, 2θ = 31.42°, I 100
- d = 2.673 Å, 2θ = 33.52°, I 21
- d = 2.378 Å, 2θ = 37.83°, I 30
- d = 1.777 Å, 2θ = 51.43°, I 24
- d = 1.575 Å, 2θ = 58.62°, I 16
- d = 1.448 Å, 2θ = 64.34°, I 24
- d = 1.149 Å, 2θ = 84.24°, I 11